# 1
AcEr5In3: simulated powder XRD pattern (CuKα), based on a cell relaxed with PBE.

Largest 8 diffraction maxima, by angle, 15° ≤ 2θ ≤ 90°:
2θ = 32.41°, I = 1000
2θ = 32.96°, I = 982
2θ = 46.90°, I = 359
2θ = 58.51°, I = 371
2θ = 58.85°, I = 185
2θ = 64.50°, I = 283
2θ = 78.43°, I = 158
2θ = 83.76°, I = 138

Structure:
```
AcEr5In3
1.0
9.4146 0.0000 0.0000
-4.7073 8.1533 0.0000
0.0000 0.0000 6.8233
Ac Er In
2 10 6
Direct
0.0000 0.0000 0.0000
0.0000 0.0000 0.5000
0.0000 0.3349 0.2500
0.0000 0.6651 0.7500
0.3333 0.6667 0.0000
0.3333 0.6667 0.5000
0.3349 0.0000 0.2500
0.3349 0.3349 0.7500
0.6651 0.0000 0.7500
0.6651 0.6651 0.2500
0.6667 0.3333 0.0000
0.6667 0.3333 0.5000
0.0000 0.3418 0.7500
0.0000 0.6582 0.2500
0.3418 0.0000 0.7500
0.3418 0.3418 0.2500
0.6582 0.0000 0.2500
0.6582 0.6582 0.7500
```

# 2
Ta6Mn5V: simulated powder XRD pattern (CuKα), based on a cell relaxed with PBE.

Largest 6 diffraction maxima, by angle, 15° ≤ 2θ ≤ 90°:
2θ = 29.00°, I = 358
2θ = 41.48°, I = 1000
2θ = 51.40°, I = 105
2θ = 60.10°, I = 165
2θ = 68.10°, I = 142
2θ = 75.66°, I = 332

Structure:
```
Ta6Mn5V
1.0
2.1782 -6.5343 0.0000
2.1782 6.5343 0.0000
0.0000 0.0000 6.1516
Ta Mn V
6 5 1
Direct
0.0000 0.0000 0.2476
0.0000 0.0000 0.7524
0.3320 0.6680 0.2490
0.3320 0.6680 0.7510
0.6680 0.3320 0.2490
0.6680 0.3320 0.7510
0.1666 0.8334 0.5000
0.1677 0.8323 0.0000
0.5000 0.5000 0.0000
0.8323 0.1677 0.0000
0.8334 0.1666 0.5000
0.5000 0.5000 0.5000
```

# 3
KAlPb2O4: simulated powder XRD pattern (CuKα), based on a cell relaxed with PBE.

Largest 8 diffraction maxima, by angle, 15° ≤ 2θ ≤ 90°:
2θ = 19.61°, I = 974
2θ = 22.92°, I = 440
2θ = 23.02°, I = 310
2θ = 28.02°, I = 269
2θ = 30.42°, I = 1000
2θ = 32.13°, I = 287
2θ = 32.71°, I = 317
2θ = 39.86°, I = 320

Structure:
```
KAlPb2O4
1.0
7.7264 0.0000 0.0000
0.0000 7.7607 0.0000
0.0000 0.0000 5.5719
K Al Pb O
2 2 4 8
Direct
0.0000 0.1264 0.0000
0.5000 0.8736 0.5000
0.0000 0.8792 0.5028
0.5000 0.1208 0.0028
0.2481 0.7066 0.9985
0.2519 0.2934 0.4985
0.7481 0.2934 0.4985
0.7519 0.7066 0.9985
0.0000 0.1146 0.5151
0.0000 0.8164 0.1891
0.1891 0.8046 0.6473
0.3109 0.1954 0.1473
0.5000 0.1836 0.6891
0.5000 0.8854 0.0151
0.6891 0.1954 0.1473
0.8109 0.8046 0.6473
```

# 4
CaNd2Se4: simulated powder XRD pattern (CuKα), based on a cell relaxed with PBE.

Largest 8 diffraction maxima, by angle, 15° ≤ 2θ ≤ 90°:
2θ = 24.28°, I = 172
2θ = 31.44°, I = 394
2θ = 31.68°, I = 1000
2θ = 37.48°, I = 484
2θ = 37.66°, I = 505
2θ = 45.38°, I = 201
2θ = 47.63°, I = 195
2θ = 64.23°, I = 158

Structure:
```
CaNd2Se4
1.0
-4.4637 4.4637 4.5026
4.4637 -4.4637 4.5026
4.4637 4.4637 -4.5026
Ca Nd Se
2 4 8
Direct
0.0000 0.0000 0.0000
0.7500 0.2500 0.5000
0.2482 0.6250 0.1232
0.3750 0.4982 0.6232
0.5018 0.1250 0.8768
0.8750 0.7518 0.3768
0.1255 0.2301 0.7476
0.1280 0.7326 0.7524
0.2674 0.0199 0.3954
0.4826 0.3780 0.2524
0.6220 0.8745 0.1046
0.6245 0.8720 0.6046
0.7699 0.5174 0.8954
0.9801 0.3755 0.2476
```